Theoretical X-ray powder pattern of Nd2MgSe4 for copper Kα, from a DFT-relaxed cell (PBE, the Materials Project).
Lines closer than 0.1° are merged.

```
data_Nd2MgSe4
_cell_length_a 8.4121
_cell_length_b 7.7507
_cell_length_c 12.3936
_cell_angle_alpha 90.00
_cell_angle_beta 90.00
_cell_angle_gamma 90.00
_space_group_name_H-M_alt 'P 1'
_space_group_IT_number 1
loop_
_space_group_symop_operation_xyz
'x,y,z'
loop_
_atom_site_label
_atom_site_type_symbol
_atom_site_fract_x
_atom_site_fract_y
_atom_site_fract_z
_atom_site_occupancy
Nd1 Nd 0.0493 0.2500 0.1851 1
Nd2 Nd 0.0666 0.7500 0.4684 1
Nd3 Nd 0.4334 0.2500 0.9684 1
Nd4 Nd 0.4507 0.7500 0.6851 1
Nd5 Nd 0.5493 0.2500 0.3149 1
Nd6 Nd 0.5666 0.7500 0.0316 1
Nd7 Nd 0.9334 0.2500 0.5316 1
Nd8 Nd 0.9507 0.7500 0.8149 1
Mg1 Mg 0.1838 0.7500 0.0879 1
Mg2 Mg 0.3162 0.2500 0.5879 1
Mg3 Mg 0.6838 0.7500 0.4121 1
Mg4 Mg 0.8162 0.2500 0.9121 1
Se1 Se 0.1028 0.2500 0.9506 1
Se2 Se 0.1409 0.5020 0.6556 1
Se3 Se 0.1409 0.9980 0.6556 1
Se4 Se 0.2183 0.2500 0.3887 1
Se5 Se 0.2817 0.7500 0.8887 1
Se6 Se 0.3591 0.0020 0.1556 1
Se7 Se 0.3591 0.4980 0.1556 1
Se8 Se 0.3972 0.7500 0.4506 1
Se9 Se 0.6028 0.2500 0.5494 1
Se10 Se 0.6409 0.5020 0.8444 1
Se11 Se 0.6409 0.9980 0.8444 1
Se12 Se 0.7183 0.2500 0.1113 1
Se13 Se 0.7817 0.7500 0.6113 1
Se14 Se 0.8591 0.0020 0.3444 1
Se15 Se 0.8591 0.4980 0.3444 1
Se16 Se 0.8972 0.7500 0.0494 1
```

Largest 10 diffraction maxima, most intense first, 2θ = 15–90°:
2θ (°)  I (rel.)  (hkl)
34.79  100  3 1 1
33.45  99  1 2 3
22.95  76  0 2 0
32.23  71  2 2 1
29.18  60  1 2 2
46.89  45  0 4 0
21.16  40  2 0 0
48.47  38  3 3 1
38.12  38  0 1 5
30.75  37  1 0 4